For RbMgH12Cl3O6, a PBE-relaxed structure gives the theoretical powder diffractogram in this record (λ = 1.5418 Å (Cu Kα)).

The 10 most intense peaks (2θ = 10–90°), by angle:
2θ (°)	I/Imax	hkl
18.49	100	1 1 0
19.12	44	1 0 -2
26.38	83	0 0 4
26.50	82	0 2 0
26.97	75	2 0 0
29.31	50	1 0 4
29.57	40	0 2 2
29.68	60	0 1 -4
30.51	53	2 0 -2
37.44	58	2 2 0

Crystal structure
abc: 6.621 6.732 13.523
angles: 89.52 88.10 87.93
Space group P1 (No. 1)
Inequivalent atoms, fractional coordinates:
Rb1 0.000 0.000 0.000 x1
Rb2 0.025 0.988 0.506 x1
Mg1 0.514 0.503 0.764 x1
Mg2 0.518 0.496 0.253 x1
H1 0.105 0.523 0.231 x1
H2 0.140 0.317 0.752 x1
H3 0.179 0.445 0.656 x1
H4 0.191 0.729 0.208 x1
H5 0.270 0.543 0.936 x1
H6 0.291 0.152 0.276 x1
H7 0.305 0.853 0.729 x1
H8 0.328 0.551 0.433 x1
H9 0.449 0.693 0.939 x1
H10 0.456 0.149 0.358 x1
H11 0.471 0.849 0.643 x1
H12 0.480 0.728 0.427 x1
H13 0.546 0.273 0.079 x1
H14 0.547 0.143 0.872 x1
H15 0.582 0.840 0.148 x1
H16 0.614 0.278 0.600 x1
H17 0.716 0.434 0.073 x1
H18 0.724 0.145 0.791 x1
H19 0.747 0.838 0.230 x1
H20 0.758 0.458 0.589 x1
H21 0.851 0.729 0.783 x1
H22 0.859 0.555 0.863 x1
H23 0.860 0.439 0.368 x1
H24 0.871 0.279 0.282 x1
Cl1 0.008 0.998 0.752 x1
Cl2 0.015 0.004 0.249 x1
Cl3 0.030 0.493 0.503 x1
Cl4 0.492 0.984 0.014 x1
Cl5 0.532 0.005 0.500 x1
Cl6 0.988 0.486 0.996 x1
O1 0.228 0.586 0.206 x1
O2 0.229 0.418 0.722 x1
O3 0.398 0.580 0.902 x1
O4 0.406 0.225 0.301 x1
O5 0.433 0.785 0.706 x1
O6 0.447 0.601 0.396 x1
O7 0.599 0.388 0.114 x1
O8 0.600 0.218 0.815 x1
O9 0.623 0.773 0.210 x1
O10 0.638 0.411 0.626 x1
O11 0.789 0.604 0.803 x1
O12 0.818 0.415 0.300 x1